The following is a computed X-ray diffraction stick pattern of CeGa2TcO8. It was derived from a structure optimized by DFT (PBE), using Cu Ka.
Neutral-atom scattering factors, no anomalous dispersion.

Crystal structure
```
12
Lattice="3.3194 -3.3350 0.0000 3.3194 3.3350 0.0000 0.0000 0.0000 6.4446" Properties=species:S:1:pos:R:3 pbc="T T T"
Ce 0.0000 0.0000 0.0000
Ga 3.3194 0.0000 1.6349
Ga 3.3194 0.0000 4.8097
Tc 0.0000 0.0000 3.2223
O 1.3533 0.0000 1.8361
O 1.3533 0.0000 4.6084
O 3.3194 1.3967 3.2223
O 3.3194 1.2021 0.0000
O 3.3194 -1.2021 0.0000
O 3.3194 -1.3967 3.2223
O 5.2855 0.0000 1.8361
O 5.2855 0.0000 4.6084
```

Most intense lines, 2θ from 15° to 90°, by intensity:
d [Å]  intensity
2.659  100
3.335  63
3.319  60
1.764  43
1.760  40
1.410  24
2.353  24
4.705  14
2.312  12
1.660  11